Simulated XRD peak list
Compound: Pm2Nd3In6
Radiation: Cu Ka
Structure: DFT lattice parameters and positions (GGA-PBE)
Intensities are scaled so that the largest is 100.

Cell and atoms:
```
Pm2Nd3In6
1.0
-2.9807 2.9807 11.3947
2.9807 -2.9807 11.3947
2.9807 2.9807 -11.3947
Pm Nd In
2 3 6
Direct
0.0769 0.0769 0.0000
0.9231 0.9231 0.0000
0.3558 0.3558 0.0000
0.5000 0.5000 0.0000
0.6442 0.6442 0.0000
0.0669 0.5669 0.5000
0.2161 0.2161 0.0000
0.4331 0.9331 0.5000
0.5669 0.0669 0.5000
0.7839 0.7839 0.0000
0.9331 0.4331 0.5000
```

Main lines, sorted by position (10 to 90 degrees two-theta):
2theta  I (rel.)
21.08  28
29.98  100
31.31  82
42.91  37
43.90  68
63.06  21

Simulated XRD peak list
Compound: Pa3Co4B4
Radiation: Cu Ka
Structure: DFT lattice parameters and positions (GGA-PBE)
Intensities are scaled so that the largest is 100.

Cell and atoms:
```
Pa3Co4B4
1.0
3.5486 0.0000 0.0000
0.1954 3.8126 0.0000
1.6480 1.1337 10.6984
Pa Co B
3 4 4
Direct
0.0000 0.0000 0.0000
0.1617 0.6572 0.7036
0.8383 0.3428 0.2964
0.2978 0.8665 0.4256
0.4386 0.3990 0.1145
0.5614 0.6010 0.8855
0.7022 0.1335 0.5744
0.2138 0.3443 0.4958
0.3872 0.8793 0.2129
0.6128 0.1207 0.7871
0.7862 0.6557 0.5042
```

Main lines, sorted by position (10 to 90 degrees two-theta):
2theta  I (rel.)
25.74  96
27.36  82
36.78  97
38.57  100
38.79  91
39.26  100

Simulated XRD peak list
Compound: K3AcNb2O9
Radiation: Cu Ka
Structure: DFT lattice parameters and positions (GGA-PBE)
Intensities are scaled so that the largest is 100.

Cell and atoms:
```
K3AcNb2O9
1.0
6.0708 0.0000 0.0000
-3.0354 5.2575 0.0000
0.0000 0.0000 7.8108
K Ac Nb O
3 1 2 9
Direct
0.0000 0.0000 0.0000
0.3333 0.6667 0.7114
0.6667 0.3333 0.2886
0.0000 0.0000 0.5000
0.3333 0.6667 0.1683
0.6667 0.3333 0.8317
0.0000 0.5000 0.0000
0.1777 0.3555 0.2950
0.1777 0.8223 0.2950
0.3555 0.1777 0.7050
0.5000 0.0000 0.0000
0.5000 0.5000 0.0000
0.6445 0.8223 0.2950
0.8223 0.1777 0.7050
0.8223 0.6445 0.7050
```

Main lines, sorted by position (10 to 90 degrees two-theta):
2theta  I (rel.)
20.36  100
28.47  85
29.43  71
41.40  56
45.92  23
51.61  30